This entry pairs a crystal structure of Mn2V2O7 with its calculated powder X-ray diffraction pattern. Radiation: copper Kα. Structure: DFT lattice parameters and positions (PBE+U).
Kinematic intensities with the Lorentz-polarization factor, no thermal factor.

Cell and atoms:
```
Mn2V2O7
1.0
3.267 -4.492 0.000
3.267 4.492 0.000
-1.065 0.000 4.986
Mn V O
2 2 7
Direct
0.187 0.813 0.000
0.813 0.187 0.000
0.255 0.255 0.604
0.745 0.745 0.396
0.081 0.081 0.283
0.108 0.432 0.793
0.432 0.108 0.793
0.500 0.500 0.500
0.568 0.892 0.207
0.892 0.568 0.207
0.919 0.919 0.717
```

Principal peaks in the range 5 to 70 degrees two-theta, in order of rising 2θ:
| 2θ/deg | d/Å | I (rel.) |
| --- | --- | --- |
| 17.0 | 5.208 | 13 |
| 26.7 | 3.335 | 100 |
| 29.9 | 2.989 | 27 |
| 33.0 | 2.712 | 7 |
| 34.4 | 2.604 | 12 |
| 39.2 | 2.298 | 7 |
| 43.7 | 2.069 | 15 |
| 45.9 | 1.977 | 8 |
| 52.0 | 1.759 | 19 |
| 57.7 | 1.598 | 6 |
| 59.5 | 1.554 | 9 |
| 62.9 | 1.477 | 7 |